(1)
Structure and theoretical powder diffraction line list of NaNb3Te4O16 (a cell relaxed with GGA-PBE; copper Kα).
No peak broadening, texture or thermal motion is included.

Atomic structure:
a = 6.5588 Å, b = 7.4313 Å, c = 14.0450 Å
α = 90.00°, β = 102.87°, γ = 90.00°
Fractional coordinates of all 48 atoms:
Na 0.0000 0.0000 0.0000
Na 0.0000 0.5000 0.0000
Nb 0.4224 0.0010 0.2234
Nb 0.4224 0.4990 0.2234
Nb 0.5000 0.0000 0.5000
Nb 0.5000 0.5000 0.5000
Nb 0.5776 0.5010 0.7766
Nb 0.5776 0.9990 0.7766
Te 0.9998 0.2500 0.5051
Te 0.0002 0.7500 0.4949
Te 0.0783 0.7500 0.7746
Te 0.0867 0.2500 0.7866
Te 0.4491 0.7500 0.9948
Te 0.5509 0.2500 0.0052
Te 0.9133 0.7500 0.2134
Te 0.9217 0.2500 0.2254
O 0.1172 0.5629 0.2032
O 0.1172 0.9371 0.2032
O 0.1294 0.7500 0.6252
O 0.1364 0.7500 0.9209
O 0.1987 0.0594 0.4962
O 0.1987 0.4406 0.4962
O 0.2037 0.2500 0.9210
O 0.2742 0.5517 0.7835
O 0.2742 0.9483 0.7835
O 0.3502 0.2500 0.1800
O 0.3763 0.5570 0.0705
O 0.3763 0.9430 0.0705
O 0.4093 0.7500 0.4721
O 0.4496 0.0477 0.3567
O 0.4496 0.4523 0.3567
O 0.4790 0.2500 0.7578
O 0.5210 0.7500 0.2422
O 0.5504 0.5477 0.6433
O 0.5504 0.9523 0.6433
O 0.5907 0.2500 0.5279
O 0.6237 0.0570 0.9295
O 0.6237 0.4430 0.9295
O 0.6498 0.7500 0.8200
O 0.7258 0.0517 0.2165
O 0.7258 0.4483 0.2165
O 0.7963 0.7500 0.0790
O 0.8013 0.5594 0.5038
O 0.8013 0.9406 0.5038
O 0.8636 0.2500 0.0791
O 0.8706 0.2500 0.3748
O 0.8828 0.0629 0.7968
O 0.8828 0.4371 0.7968

Most intense lines, 10 to 90 degrees two-theta, by angle:
- 19.4 deg, rel. 34
- 26.0 deg, rel. 65
- 27.2 deg, rel. 24
- 27.8 deg, rel. 100
- 27.9 deg, rel. 32
- 29.4 deg, rel. 21
- 32.2 deg, rel. 20
- 33.8 deg, rel. 26
- 35.9 deg, rel. 37
- 48.4 deg, rel. 35
- 57.3 deg, rel. 24
- 57.9 deg, rel. 20

---

(2)
Structure and theoretical powder diffraction line list of Pt3Pb (a cell relaxed with GGA-PBE; copper Kα).
No peak broadening, texture or thermal motion is included.

Atomic structure:
a = 5.8173 Å, b = 5.8173 Å, c = 5.8173 Å
α = 120.01°, β = 120.01°, γ = 89.98°
Fractional coordinates of all 8 atoms:
Pt 0.2479 0.7479 0.9958
Pt 0.2500 0.2500 0.0000
Pt 0.2521 0.2479 0.5000
Pt 0.7479 0.7521 0.5000
Pt 0.7500 0.7500 0.0000
Pt 0.7521 0.2521 0.0042
Pb 0.2500 0.7500 0.5000
Pb 0.7500 0.2500 0.5000

Most intense lines, 10 to 90 degrees two-theta, by angle:
- 37.9 deg, rel. 100
- 44.0 deg, rel. 50
- 64.0 deg, rel. 33
- 76.9 deg, rel. 40
- 81.0 deg, rel. 12

---

(3)
Structure and theoretical powder diffraction line list of Cu2Ag3 (a cell relaxed with GGA-PBE; copper Kα).
No peak broadening, texture or thermal motion is included.

Atomic structure:
a = 22.2692 Å, b = 22.2692 Å, c = 22.2692 Å
α = 7.33°, β = 7.33°, γ = 7.33°
Fractional coordinates of all 10 atoms:
Cu 0.0000 0.0000 0.0000
Cu 0.0936 0.0936 0.0936
Cu 0.1952 0.1952 0.1952
Cu 0.6950 0.6950 0.6950
Ag 0.3007 0.3007 0.3007
Ag 0.3945 0.3945 0.3945
Ag 0.4961 0.4961 0.4961
Ag 0.5974 0.5974 0.5974
Ag 0.7926 0.7926 0.7926
Ag 0.8941 0.8941 0.8941

Most intense lines, 10 to 90 degrees two-theta, by angle:
- 28.1 deg, rel. 3
- 36.4 deg, rel. 5
- 38.9 deg, rel. 100
- 40.6 deg, rel. 24
- 43.3 deg, rel. 3
- 45.8 deg, rel. 57
- 65.5 deg, rel. 20
- 67.9 deg, rel. 12
- 78.9 deg, rel. 11
- 80.0 deg, rel. 18
- 82.2 deg, rel. 5
- 83.6 deg, rel. 9

---

(4)
Structure and theoretical powder diffraction line list of GdTmMg2Au4 (a cell relaxed with GGA-PBE; copper Kα).
No peak broadening, texture or thermal motion is included.

Atomic structure:
a = 4.9110 Å, b = 6.7933 Å, c = 4.9320 Å
α = 90.00°, β = 90.00°, γ = 90.00°
Fractional coordinates of all 8 atoms:
Gd 0.0000 0.0000 0.0000
Tm 0.5000 0.5000 0.5204
Mg 0.0000 0.5000 0.0073
Mg 0.5000 0.0000 0.5100
Au 0.0000 0.2559 0.4999
Au 0.0000 0.7441 0.4999
Au 0.5000 0.2577 0.0210
Au 0.5000 0.7423 0.0210

Most intense lines, 10 to 90 degrees two-theta, by angle:
- 22.3 deg, rel. 20
- 25.6 deg, rel. 16
- 36.4 deg, rel. 26
- 36.6 deg, rel. 26
- 37.0 deg, rel. 100
- 52.6 deg, rel. 18
- 65.9 deg, rel. 18
- 66.1 deg, rel. 19
- 66.9 deg, rel. 9
- 67.0 deg, rel. 9
- 78.7 deg, rel. 11
- 89.2 deg, rel. 9

---

(5)
Structure and theoretical powder diffraction line list of H8PdS8N2O26 (a cell relaxed with GGA-PBE; copper Kα).
No peak broadening, texture or thermal motion is included.

Atomic structure:
a = 7.2268 Å, b = 8.2608 Å, c = 9.0509 Å
α = 72.14°, β = 88.79°, γ = 72.26°
Fractional coordinates of all 45 atoms:
H 0.0003 0.1772 0.1362
H 0.9997 0.8228 0.8638
H 0.1257 0.6027 0.9181
H 0.2064 0.7438 0.9812
H 0.2176 0.7500 0.7949
H 0.7824 0.2500 0.2051
H 0.7936 0.2562 0.0188
H 0.8743 0.3973 0.0819
Pd 0.5000 0.5000 0.5000
S 0.1047 0.1910 0.5155
S 0.1965 0.2277 0.8098
S 0.3275 0.3559 0.2815
S 0.3850 0.8611 0.2172
S 0.6150 0.1389 0.7828
S 0.6725 0.6441 0.7185
S 0.8035 0.7723 0.1902
S 0.8953 0.8089 0.4845
N 0.1368 0.7296 0.8898
N 0.8632 0.2704 0.1102
O 0.0634 0.6945 0.5849
O 0.0675 0.1306 0.8784
O 0.1208 0.0161 0.6145
O 0.1393 0.3114 0.6229
O 0.1797 0.4063 0.1590
O 0.2148 0.3745 0.8514
O 0.2520 0.0383 0.1811
O 0.2860 0.4926 0.3642
O 0.2958 0.1727 0.4262
O 0.3804 0.7528 0.1212
O 0.4020 0.0820 0.8214
O 0.4114 0.7693 0.3884
O 0.4731 0.7193 0.7418
O 0.5269 0.2807 0.2582
O 0.5886 0.2307 0.6116
O 0.5980 0.9180 0.1786
O 0.6196 0.2472 0.8788
O 0.7042 0.8273 0.5738
O 0.7140 0.5074 0.6358
O 0.7480 0.9617 0.8189
O 0.7852 0.6255 0.1486
O 0.8203 0.5937 0.8410
O 0.8607 0.6886 0.3771
O 0.8792 0.9839 0.3855
O 0.9325 0.8694 0.1216
O 0.9366 0.3055 0.4151

Most intense lines, 10 to 90 degrees two-theta, by angle:
- 10.3 deg, rel. 100
- 13.0 deg, rel. 84
- 20.1 deg, rel. 58
- 20.3 deg, rel. 47
- 24.9 deg, rel. 23
- 26.6 deg, rel. 55
- 27.2 deg, rel. 72
- 27.6 deg, rel. 30
- 28.1 deg, rel. 39
- 28.9 deg, rel. 24
- 31.2 deg, rel. 32
- 33.5 deg, rel. 33

---

(6)
Structure and theoretical powder diffraction line list of Rb2MoPbSe6 (a cell relaxed with GGA-PBE; copper Kα).
No peak broadening, texture or thermal motion is included.

Atomic structure:
a = 8.0608 Å, b = 8.0608 Å, c = 8.0608 Å
α = 128.33°, β = 128.33°, γ = 76.10°
Fractional coordinates of all 10 atoms:
Rb 0.2500 0.7500 0.5000
Rb 0.7500 0.2500 0.5000
Mo 0.0000 0.0000 0.0000
Pb 0.5000 0.5000 0.0000
Se 0.1117 0.6424 0.7541
Se 0.1926 0.1926 0.0000
Se 0.3576 0.1117 0.4692
Se 0.6424 0.8883 0.5308
Se 0.8074 0.8074 0.0000
Se 0.8883 0.3576 0.2459

Most intense lines, 10 to 90 degrees two-theta, by angle:
- 14.0 deg, rel. 54
- 24.6 deg, rel. 27
- 25.4 deg, rel. 100
- 28.1 deg, rel. 65
- 29.3 deg, rel. 41
- 35.6 deg, rel. 56
- 36.2 deg, rel. 39
- 38.2 deg, rel. 41
- 40.6 deg, rel. 30
- 43.1 deg, rel. 66
- 58.8 deg, rel. 31
- 60.4 deg, rel. 47

---

(7)
Structure and theoretical powder diffraction line list of Al7CoCu2 (a cell relaxed with GGA-PBE; copper Kα).
No peak broadening, texture or thermal motion is included.

Atomic structure:
a = 6.2929 Å, b = 6.2929 Å, c = 14.7327 Å
α = 90.00°, β = 90.00°, γ = 90.00°
Fractional coordinates of all 40 atoms:
Al 0.0000 0.0000 0.1318
Al 0.0000 0.0000 0.8682
Al 0.0864 0.2958 0.4001
Al 0.0864 0.2958 0.5999
Al 0.1546 0.6546 0.2500
Al 0.1546 0.6546 0.7500
Al 0.2042 0.4136 0.0999
Al 0.2042 0.4136 0.9001
Al 0.2958 0.9136 0.4001
Al 0.2958 0.9136 0.5999
Al 0.3454 0.1546 0.2500
Al 0.3454 0.1546 0.7500
Al 0.4136 0.7958 0.0999
Al 0.4136 0.7958 0.9001
Al 0.5000 0.5000 0.3682
Al 0.5000 0.5000 0.6318
Al 0.5864 0.2042 0.0999
Al 0.5864 0.2042 0.9001
Al 0.6546 0.8454 0.2500
Al 0.6546 0.8454 0.7500
Al 0.7042 0.0864 0.4001
Al 0.7042 0.0864 0.5999
Al 0.7958 0.5864 0.0999
Al 0.7958 0.5864 0.9001
Al 0.8454 0.3454 0.2500
Al 0.8454 0.3454 0.7500
Al 0.9136 0.7042 0.4001
Al 0.9136 0.7042 0.5999
Co 0.0000 0.0000 0.2979
Co 0.0000 0.0000 0.7021
Co 0.5000 0.5000 0.2021
Co 0.5000 0.5000 0.7979
Cu 0.0917 0.7280 0.0000
Cu 0.2280 0.5917 0.5000
Cu 0.2720 0.0917 0.0000
Cu 0.4083 0.2280 0.5000
Cu 0.5917 0.7720 0.5000
Cu 0.7280 0.9083 0.0000
Cu 0.7720 0.4083 0.5000
Cu 0.9083 0.2720 0.0000

Most intense lines, 10 to 90 degrees two-theta, by angle:
- 12.0 deg, rel. 33
- 23.0 deg, rel. 61
- 23.4 deg, rel. 30
- 30.9 deg, rel. 24
- 40.3 deg, rel. 100
- 42.4 deg, rel. 26
- 44.5 deg, rel. 92
- 45.4 deg, rel. 24
- 45.6 deg, rel. 42
- 46.0 deg, rel. 63
- 49.5 deg, rel. 24
- 83.5 deg, rel. 24

---

(8)
Structure and theoretical powder diffraction line list of RbHgSbSe3 (a cell relaxed with GGA-PBE; copper Kα).
No peak broadening, texture or thermal motion is included.

Atomic structure:
a = 7.8481 Å, b = 11.3912 Å, c = 8.9803 Å
α = 90.00°, β = 106.57°, γ = 90.00°
Fractional coordinates of all 24 atoms:
Rb 0.0121 0.2421 0.3794
Rb 0.0121 0.2579 0.8794
Rb 0.9879 0.7421 0.1206
Rb 0.9879 0.7579 0.6206
Hg 0.4081 0.7492 0.4770
Hg 0.4081 0.7508 0.9770
Hg 0.5919 0.2492 0.0230
Hg 0.5919 0.2508 0.5230
Sb 0.4460 0.0010 0.2358
Sb 0.4460 0.4990 0.7358
Sb 0.5540 0.5010 0.2642
Sb 0.5540 0.9990 0.7642
Se 0.2284 0.5497 0.9049
Se 0.2284 0.9503 0.4049
Se 0.2304 0.5481 0.4582
Se 0.2304 0.9519 0.9582
Se 0.3687 0.2292 0.2178
Se 0.3687 0.2708 0.7178
Se 0.6313 0.7292 0.2822
Se 0.6313 0.7708 0.7822
Se 0.7696 0.0481 0.0418
Se 0.7696 0.4519 0.5418
Se 0.7716 0.0497 0.5951
Se 0.7716 0.4503 0.0951

Most intense lines, 10 to 90 degrees two-theta, by angle:
- 11.8 deg, rel. 80
- 14.1 deg, rel. 17
- 26.0 deg, rel. 26
- 27.8 deg, rel. 100
- 31.0 deg, rel. 60
- 31.4 deg, rel. 49
- 35.8 deg, rel. 26
- 39.3 deg, rel. 22
- 40.2 deg, rel. 30
- 43.3 deg, rel. 22
- 48.3 deg, rel. 28
- 51.9 deg, rel. 21

---

(9)
Structure and theoretical powder diffraction line list of K3Pt2S4 (a cell relaxed with GGA-PBE; copper Kα).
No peak broadening, texture or thermal motion is included.

Atomic structure:
a = 6.2173 Å, b = 6.2173 Å, c = 13.5673 Å
α = 90.00°, β = 90.00°, γ = 109.11°
Fractional coordinates of all 18 atoms:
K 0.1622 0.8378 0.5659
K 0.1622 0.8378 0.9341
K 0.2505 0.7495 0.2500
K 0.7495 0.2505 0.7500
K 0.8378 0.1622 0.0659
K 0.8378 0.1622 0.4341
Pt 0.4185 0.5815 0.7500
Pt 0.5000 0.5000 0.0000
Pt 0.5000 0.5000 0.5000
Pt 0.5815 0.4185 0.2500
S 0.2177 0.3562 0.6200
S 0.2177 0.3562 0.8800
S 0.3562 0.2177 0.1200
S 0.3562 0.2177 0.3800
S 0.6438 0.7823 0.6200
S 0.6438 0.7823 0.8800
S 0.7823 0.6438 0.1200
S 0.7823 0.6438 0.3800

Most intense lines, 10 to 90 degrees two-theta, by angle:
- 15.1 deg, rel. 100
- 17.5 deg, rel. 28
- 18.7 deg, rel. 23
- 24.7 deg, rel. 20
- 29.2 deg, rel. 15
- 30.0 deg, rel. 22
- 30.4 deg, rel. 39
- 32.1 deg, rel. 16
- 36.4 deg, rel. 28
- 36.5 deg, rel. 20
- 40.6 deg, rel. 16
- 47.2 deg, rel. 18